Computed X-ray diffraction stick pattern of YIn6Ag for Cu Kα X-rays, from a cell relaxed with GGA-PBE.
Kinematic intensities with the Lorentz-polarization factor, no thermal factor.

Top 10 peaks for 2θ = 10–90°, low angle first:
2θ/deg  I/Imax
33.3  30
34.1  100
37.3  22
47.0  11
50.8  15
58.8  7
60.0  13
61.5  8
65.2  14
71.7  7

Structure:
a = 7.7350 Å, b = 10.7661 Å, c = 4.8217 Å
α = 90.00°, β = 90.00°, γ = 90.00°
Fractional positions:
Y1 0.0000 0.0000 0.0000
Y2 0.5000 0.5000 0.0000
In1 0.0000 0.2161 0.5000
In2 0.0000 0.7839 0.5000
In3 0.2051 0.5000 0.5000
In4 0.2500 0.2500 0.0000
In5 0.2500 0.7500 0.0000
In6 0.2949 0.0000 0.5000
In7 0.5000 0.2839 0.5000
In8 0.5000 0.7161 0.5000
In9 0.7051 0.0000 0.5000
In10 0.7500 0.2500 0.0000
In11 0.7500 0.7500 0.0000
In12 0.7949 0.5000 0.5000
Ag1 0.0000 0.5000 0.0000
Ag2 0.5000 0.0000 0.0000